Record 1
The following is a calculated powder diffraction line list of SeBr2. It was derived from DFT lattice parameters and positions (PBE), using Cu Kα (λ = 1.5418 Å).
No peak broadening, texture or thermal motion is included.

Largest 10 diffraction maxima, in order of rising 2θ, 10 to 90 degrees two-theta:
two_theta  I/Imax  hkl
15.31  100.0  1 1 0
24.32  66.6  2 1 0
28.79  39.1  1 1 1
30.91  14.5  2 2 0
34.60  47.1  2 1 1
39.66  19.8  2 2 1
41.22  60.4  3 0 1
47.11  20.3  3 3 0
52.40  17.2  4 1 1
83.51  18.4  6 3 1

Structure:
a = 8.1837 Å, b = 8.1837 Å, c = 3.6725 Å
α = 90.00°, β = 90.00°, γ = 90.00°
Space group P4_2/mnm (No. 136)
Symmetry-distinct sites (fractional):
Se 0.0000 0.0000 0.0000
Br 0.1620 0.1620 0.5000

Record 2
The following is a calculated powder diffraction line list of Si2Os3C12Cl6O12. It was derived from DFT lattice parameters and positions (PBE), using Cu Kα (λ = 1.5418 Å).
No peak broadening, texture or thermal motion is included.

Largest 10 diffraction maxima, in order of rising 2θ, 10 to 90 degrees two-theta:
two_theta  I/Imax  hkl
11.30  12.5  0 1 0
12.05  35.2  1 0 0
13.13  100.0  1 1 0
13.72  75.9  0 1 1
16.51  41.7  1 0 -1
21.28  21.1  1 2 1
22.64  15.1  2 1 0
25.12  12.5  2 2 1
27.59  17.7  -1 1 2
28.61  33.8  1 -1 3

Structure:
a = 8.4168 Å, b = 8.5419 Å, c = 11.6046 Å
α = 80.54°, β = 69.86°, γ = 66.49°
Space group P-1 (No. 2)
Symmetry-distinct sites (fractional):
Si 0.2249 0.3631 0.1372
Os 0.3576 0.1970 0.2964
Os 0.5000 0.0000 0.5000
C 0.1183 0.2858 0.4178
C 0.2838 0.9406 0.5658
C 0.3010 0.0035 0.2767
C 0.3755 0.2054 0.5971
C 0.3973 0.8986 0.8219
C 0.4191 0.3830 0.3252
Cl 0.0010 0.6808 0.8614
Cl 0.1340 0.6252 0.1535
Cl 0.3988 0.3177 0.9582
O 0.0254 0.6628 0.5110
O 0.1551 0.9052 0.6028
O 0.2540 0.9528 0.8921
O 0.2630 0.8914 0.2670
O 0.3022 0.3282 0.6534
O 0.4537 0.4930 0.3432